# 1
In3P2O8: calculated PXRD pattern (λ = 1.5418 Å (Cu Kα)), based on a DFT-relaxed cell (GGA-PBE, the Materials Project).
Peak positions follow from Bragg's law for the DFT cell and can differ from measured ones.

Unit cell a=11.328 b=11.328 c=11.328 alpha=90.00 beta=90.00 gamma=90.00
Space group I-43d (No. 220)
One atom of each set of equivalent atoms:
1 In 0.000 0.250 0.756 x24
2 P 0.046 0.454 0.546 x16
3 O 0.035 0.035 0.035 x16
4 O 0.037 0.119 0.627 x48

Principal peaks in the range 2θ from 10° to 90°, low angle first:
2θ (°), I_rel, h k l
19.19, 71, 2 1 1
29.50, 100, 3 2 1
31.59, 68, 4 0 0
37.23, 21, 3 3 2
43.77, 30, 5 2 1
45.28, 53, 4 4 0
49.61, 23, 6 1 1
56.26, 23, 4 4 4

# 2
Tl2Sb3O9: calculated PXRD pattern (λ = 1.5418 Å (Cu Kα)), based on a DFT-relaxed cell (GGA-PBE, the Materials Project).
Peak positions follow from Bragg's law for the DFT cell and can differ from measured ones.

Unit cell a=9.591 b=9.591 c=9.591 alpha=90.00 beta=90.00 gamma=90.00
Space group Pn-3 (No. 201, origin choice 2)
One atom of each set of equivalent atoms:
1 Tl 0.111 0.111 0.111 x8
2 Sb 0.087 0.250 0.750 x12
3 O 0.039 0.744 0.414 x24
4 O 0.113 0.750 0.750 x12

Principal peaks in the range 2θ from 10° to 90°, low angle first:
2θ (°), I_rel, h k l
16.01, 34, 1 1 1
27.91, 72, 2 2 1
29.45, 100, 3 1 0
35.01, 31, 3 2 1
39.88, 19, 3 3 0
48.39, 50, 4 1 3
57.67, 20, 6 0 0
87.49, 19, 7 3 4

# 3
ThNi2P2: calculated PXRD pattern (λ = 1.5418 Å (Cu Kα)), based on a DFT-relaxed cell (GGA-PBE, the Materials Project).
Peak positions follow from Bragg's law for the DFT cell and can differ from measured ones.

Unit cell a=4.106 b=4.106 c=9.018 alpha=90.00 beta=90.00 gamma=90.00
Space group P4/nmm (No. 129, origin choice 2)
One atom of each set of equivalent atoms:
1 Th 0.250 0.250 0.247 x2
2 Ni 0.250 0.250 0.612 x2
3 Ni 0.250 0.750 0.000 x2
4 P 0.250 0.250 0.871 x2
5 P 0.250 0.750 0.500 x2

Principal peaks in the range 2θ from 10° to 90°, low angle first:
2θ (°), I_rel, h k l
23.81, 76, 1 0 1
30.80, 41, 1 1 0
36.82, 100, 1 1 2
37.06, 91, 1 0 3
44.11, 53, 2 0 0
55.66, 23, 1 0 5
58.94, 48, 2 1 3
76.32, 24, 3 1 2

# 4
Ce3Ni13B2: calculated PXRD pattern (λ = 1.5418 Å (Cu Kα)), based on a DFT-relaxed cell (GGA-PBE, the Materials Project).
Peak positions follow from Bragg's law for the DFT cell and can differ from measured ones.

Unit cell a=4.9260 b=4.9260 c=10.9925 alpha=90.00 beta=90.00 gamma=120.00
Space group P6/mmm (No. 191)
One atom of each set of equivalent atoms:
1 Ce 0.0000 0.0000 0.0000 x1
2 Ce 0.0000 0.0000 0.3309 x2
3 Ni 0.0000 0.5000 0.1329 x6
4 Ni 0.0000 0.5000 0.5000 x3
5 Ni 0.3333 0.6667 0.3179 x4
6 B 0.3333 0.6667 0.0000 x2

Principal peaks in the range 2θ from 10° to 90°, low angle first:
2θ (°), I_rel, h k l
32.20, 70, 1 0 3
36.48, 30, 1 1 0
42.37, 59, 2 0 0
44.31, 100, 1 1 3
49.77, 15, 0 0 6
62.98, 20, 2 1 3
71.12, 23, 3 0 3
77.51, 20, 2 2 0

# 5
ThAg3: calculated PXRD pattern (λ = 1.5418 Å (Cu Kα)), based on a DFT-relaxed cell (GGA-PBE, the Materials Project).
Peak positions follow from Bragg's law for the DFT cell and can differ from measured ones.

Unit cell a=6.5628 b=6.5628 c=4.8768 alpha=90.00 beta=90.00 gamma=120.00
Space group P6_3/mmc (No. 194)
One atom of each set of equivalent atoms:
1 Th 0.3333 0.6667 0.2500 x2
2 Ag 0.1512 0.3023 0.7500 x6

Principal peaks in the range 2θ from 10° to 90°, low angle first:
2θ (°), I_rel, h k l
24.04, 17, 1 0 1
31.48, 25, 2 0 0
36.60, 100, 2 0 1
36.86, 23, 0 0 2
49.24, 14, 2 0 2
56.05, 17, 2 2 0
66.23, 17, 2 0 3
68.99, 18, 2 2 2

# 6
BaSbSe2F: calculated PXRD pattern (λ = 1.5418 Å (Cu Kα)), based on a DFT-relaxed cell (GGA-PBE, the Materials Project).
Peak positions follow from Bragg's law for the DFT cell and can differ from measured ones.

Unit cell a=6.315 b=6.451 c=14.274 alpha=85.42 beta=86.10 gamma=89.90
Space group P-1 (No. 2)
One atom of each set of equivalent atoms:
1 Ba 0.230 0.477 0.107 x2
2 Ba 0.270 0.016 0.893 x2
3 Sb 0.236 0.971 0.373 x2
4 Sb 0.268 0.621 0.628 x2
5 Se 0.154 0.370 0.385 x2
6 Se 0.215 0.960 0.196 x2
7 Se 0.284 0.530 0.803 x2
8 Se 0.338 0.025 0.627 x2
9 F 0.000 0.249 0.998 x2
10 F 0.500 0.253 0.998 x2

Principal peaks in the range 2θ from 10° to 90°, low angle first:
2θ (°), I_rel, h k l
24.53, 42, 1 1 -2
25.09, 98, 0 0 4
27.22, 34, -1 1 3
27.75, 74, 0 2 0
27.96, 32, 0 2 1
28.33, 100, 2 0 0
36.84, 39, 2 0 4
39.99, 86, 2 -2 0

# 7
Na4H6Ru: calculated PXRD pattern (λ = 1.5418 Å (Cu Kα)), based on a DFT-relaxed cell (GGA-PBE, the Materials Project).
Peak positions follow from Bragg's law for the DFT cell and can differ from measured ones.

Unit cell a=9.1294 b=9.1294 c=11.4199 alpha=90.00 beta=90.00 gamma=120.00
Space group R-3c (No. 167, hexagonal axes)
One atom of each set of equivalent atoms:
1 Na 0.0000 0.0000 0.2500 x6
2 Na 0.0000 0.3876 0.2500 x18
3 H 0.0331 0.1705 0.4127 x36
4 Ru 0.0000 0.0000 0.0000 x6

Principal peaks in the range 2θ from 10° to 90°, low angle first:
2θ (°), I_rel, h k l
19.17, 99, 0 1 2
19.45, 100, 1 1 0
33.37, 33, 1 0 4
33.86, 31, 1 2 2
34.02, 78, 3 0 0
38.91, 44, 0 2 4
43.86, 40, 2 1 4
44.25, 28, 3 1 2